Computed XRD peak list
Compound: TaBe2Cd
Radiation: Cu Kα X-rays
Structure: the PBE geometry in Alexandria
No peak broadening, texture or thermal motion is included.

Unit cell a=3.795 b=3.016 c=9.633 alpha=90.00 beta=90.00 gamma=90.00
Space group Amm2 (No. 38)
Asymmetric unit:
Ta 0.000 0.000 0.000
Be 0.000 0.000 0.720
Be 0.500 0.000 0.585
Cd 0.500 0.000 0.308

Top 10 peaks for 2θ = 10–80°, by angle:
d (Å)  intensity
4.816  28
2.981  100
2.878  34
2.408  20
2.293  85
2.198  50
2.033  21
1.897  18
1.493  28
1.436  26